Diffraction record for Si2N3. The powder XRD pattern is computed, not measured: it uses a structure optimized by DFT (PBE) and CuKα.
Neutral-atom scattering factors, no anomalous dispersion.

Most intense lines, 10° ≤ 2θ ≤ 90°, in order of rising 2θ:
| 2θ (°) | d [Å] | Rel. int. |
| --- | --- | --- |
| 18.7 | 4.747 | 39 |
| 19.2 | 4.619 | 100 |
| 26.0 | 3.425 | 85 |
| 33.3 | 2.691 | 30 |
| 36.3 | 2.473 | 31 |
| 37.2 | 2.415 | 33 |
| 38.1 | 2.364 | 23 |
| 65.9 | 1.416 | 15 |

Structural model:
```
data_Si2N3
_cell_length_a 9.2390
_cell_length_b 5.5333
_cell_length_c 4.9468
_cell_angle_alpha 90.00
_cell_angle_beta 90.00
_cell_angle_gamma 90.00
_space_group_name_H-M_alt 'C m c 21'
_space_group_IT_number 36
_space_group_name_Hall 'C 2c -2'
loop_
_atom_site_label
_atom_site_type_symbol
_atom_site_fract_x
_atom_site_fract_y
_atom_site_fract_z
Si1 Si 0.1773 0.1535 0.0000
N1 N 0.0000 0.2227 0.0182
N2 N 0.2231 0.1193 0.6601
```